Diffraction record for AlPPt5. The X-ray diffraction stick pattern is computed, not measured: it uses a cell relaxed with GGA-PBE and Cu Kα, 1.54184 Å.
Kinematic intensities with the Lorentz-polarization factor, no thermal factor.

Main lines, most intense first (10° ≤ 2θ ≤ 80°):
two_theta  I/Imax
41.6  100.0
45.9  44.9
34.6  32.4
32.0  31.1
26.0  25.4
62.0  16.7
77.4  16.7
66.9  15.8
39.3  15.5
53.5  12.9

Structure:
Cell lengths 3.955, 3.955, 6.871 Å; angles 90.00, 90.00, 90.00 degrees
Fractional positions:
Al 0.000 0.000 0.000
P 0.500 0.500 0.500
Pt 0.000 0.500 0.287
Pt 0.000 0.500 0.713
Pt 0.500 0.000 0.287
Pt 0.500 0.000 0.713
Pt 0.500 0.500 0.000